Structure and simulated powder diffraction line list of HfNbIr6 (a cell relaxed with GGA-PBE; Cu Kα, 1.54184 Å).
Kinematic intensities with the Lorentz-polarization factor, no thermal factor.

Structural model:
```
HfNbIr6
1.0
5.5901 0.0000 0.0000
0.0000 5.5901 0.0000
0.0000 0.0000 3.9312
Hf Nb Ir
1 1 6
Direct
0.0000 0.0000 0.0000
0.5000 0.5000 0.0000
0.0000 0.5000 0.0000
0.2535 0.2535 0.5000
0.2535 0.7465 0.5000
0.5000 0.0000 0.0000
0.7465 0.2535 0.5000
0.7465 0.7465 0.5000
```

Principal peaks in the range 5 to 70 degrees two-theta, by angle:
- 5.590 Å, I 1
- 3.953 Å, I 1
- 3.216 Å, I 1
- 2.790 Å, I 1
- 2.500 Å, I 1
- 2.278 Å, I 100
- 1.976 Å, I 33
- 1.966 Å, I 16
- 1.398 Å, I 11
- 1.394 Å, I 21

---

Structure and simulated powder diffraction line list of TmHfNiIr (a cell relaxed with GGA-PBE; Cu Kα, 1.54184 Å).
Kinematic intensities with the Lorentz-polarization factor, no thermal factor.

Structural model:
```
TmHfNiIr
1.0
0.0000 3.2983 3.2983
3.2983 0.0000 3.2983
3.2983 3.2983 0.0000
Tm Hf Ni Ir
1 1 1 1
Direct
0.0000 0.0000 0.0000
0.5000 0.5000 0.5000
0.2500 0.2500 0.2500
0.7500 0.7500 0.7500
```

Principal peaks in the range 5 to 70 degrees two-theta, by angle:
- 3.809 Å, I 10
- 3.298 Å, I 3
- 2.332 Å, I 100
- 1.989 Å, I 6
- 1.904 Å, I 1
- 1.649 Å, I 17
- 1.513 Å, I 2
- 1.475 Å, I 1
- 1.347 Å, I 35

---

Structure and simulated powder diffraction line list of HfNpIr2 (a cell relaxed with GGA-PBE; Cu Kα, 1.54184 Å).
Kinematic intensities with the Lorentz-polarization factor, no thermal factor.

Structural model:
```
HfNpIr2
1.0
4.9323 0.0000 0.0000
0.0000 4.9323 0.0000
0.0000 0.0000 3.0734
Hf Np Ir
1 1 2
Direct
0.0000 0.0000 0.0000
0.5000 0.5000 0.0000
0.0000 0.5000 0.5000
0.5000 0.0000 0.5000
```

Principal peaks in the range 5 to 70 degrees two-theta, by angle:
- 4.932 Å, I 2
- 2.608 Å, I 1
- 2.466 Å, I 60
- 2.306 Å, I 100
- 1.744 Å, I 22
- 1.537 Å, I 7
- 1.391 Å, I 41

---

Structure and simulated powder diffraction line list of Hf3IrO (a cell relaxed with GGA-PBE; Cu Kα, 1.54184 Å).
Kinematic intensities with the Lorentz-polarization factor, no thermal factor.

Structural model:
```
Hf3IrO
1.0
5.6578 -1.6059 0.0000
5.6578 1.6059 0.0000
-4.7725 0.0000 9.3738
Hf Ir O
6 2 2
Direct
0.0000 0.0000 0.0000
0.0046 0.0046 0.5353
0.2196 0.2196 0.8907
0.2889 0.2889 0.2274
0.5808 0.5808 0.2996
0.7702 0.7702 0.6759
0.2876 0.2876 0.4781
0.5042 0.5042 0.7765
0.4123 0.4123 0.0772
0.9389 0.9389 0.2981
```

Principal peaks in the range 5 to 70 degrees two-theta, by angle:
- 9.374 Å, I 30
- 2.630 Å, I 84
- 2.521 Å, I 66
- 2.440 Å, I 51
- 2.415 Å, I 100
- 2.402 Å, I 99
- 2.321 Å, I 46
- 2.228 Å, I 29
- 2.050 Å, I 46
- 1.606 Å, I 39

---

Structure and simulated powder diffraction line list of PmHfIrO6 (a cell relaxed with GGA-PBE; Cu Kα, 1.54184 Å).
Kinematic intensities with the Lorentz-polarization factor, no thermal factor.

Structural model:
```
PmHfIrO6
1.0
4.9529 0.0000 0.0000
0.0000 4.9529 0.0000
0.0000 0.0000 9.8736
Pm Hf Ir O
2 2 2 12
Direct
0.0000 0.0000 0.0000
0.5000 0.5000 0.5000
0.0000 0.0000 0.6598
0.5000 0.5000 0.1598
0.0000 0.0000 0.3251
0.5000 0.5000 0.8251
0.1742 0.1742 0.4854
0.2070 0.2070 0.1811
0.2199 0.2199 0.8092
0.2801 0.7199 0.3092
0.2930 0.7070 0.6811
0.3258 0.6742 0.9854
0.6742 0.3258 0.9854
0.7070 0.2930 0.6811
0.7199 0.2801 0.3092
0.7801 0.7801 0.8092
0.7930 0.7930 0.1811
0.8258 0.8258 0.4854
```

Principal peaks in the range 5 to 70 degrees two-theta, by angle:
- 3.502 Å, I 100
- 2.741 Å, I 89
- 2.476 Å, I 27
- 1.838 Å, I 68
- 1.751 Å, I 17
- 1.646 Å, I 7
- 1.566 Å, I 17
- 1.489 Å, I 16
- 1.476 Å, I 19
- 1.371 Å, I 10

---

Structure and simulated powder diffraction line list of RbHfIrO6 (a cell relaxed with GGA-PBE; Cu Kα, 1.54184 Å).
Kinematic intensities with the Lorentz-polarization factor, no thermal factor.

Structural model:
```
RbHfIrO6
1.0
5.4093 0.0000 0.0000
-2.7047 4.6846 0.0000
0.0000 0.0000 6.3440
Rb Hf Ir O
1 1 1 6
Direct
0.0000 0.0000 0.0000
0.3333 0.6667 0.5000
0.6667 0.3333 0.5000
0.3995 0.0217 0.6743
0.3995 0.3778 0.3257
0.6222 0.0217 0.3257
0.6222 0.6005 0.6743
0.9782 0.3778 0.6743
0.9782 0.6005 0.3257
```

Principal peaks in the range 5 to 70 degrees two-theta, by angle:
- 6.344 Å, I 77
- 4.685 Å, I 14
- 3.769 Å, I 100
- 3.172 Å, I 21
- 2.705 Å, I 45
- 2.488 Å, I 31
- 2.197 Å, I 19
- 2.058 Å, I 57
- 1.705 Å, I 20
- 1.368 Å, I 14

---

What did the third record say?
Structure and simulated powder diffraction line list of HfNpIr2 (a cell relaxed with GGA-PBE; Cu Kα, 1.54184 Å).
Kinematic intensities with the Lorentz-polarization factor, no thermal factor.

Structural model:
```
HfNpIr2
1.0
4.9323 0.0000 0.0000
0.0000 4.9323 0.0000
0.0000 0.0000 3.0734
Hf Np Ir
1 1 2
Direct
0.0000 0.0000 0.0000
0.5000 0.5000 0.0000
0.0000 0.5000 0.5000
0.5000 0.0000 0.5000
```

Principal peaks in the range 5 to 70 degrees two-theta, by angle:
- 4.932 Å, I 2
- 2.608 Å, I 1
- 2.466 Å, I 60
- 2.306 Å, I 100
- 1.744 Å, I 22
- 1.537 Å, I 7
- 1.391 Å, I 41

---

Please write out number 1 again, unchanged.
Structure and simulated powder diffraction line list of HfNbIr6 (a cell relaxed with GGA-PBE; Cu Kα, 1.54184 Å).
Kinematic intensities with the Lorentz-polarization factor, no thermal factor.

Structural model:
```
HfNbIr6
1.0
5.5901 0.0000 0.0000
0.0000 5.5901 0.0000
0.0000 0.0000 3.9312
Hf Nb Ir
1 1 6
Direct
0.0000 0.0000 0.0000
0.5000 0.5000 0.0000
0.0000 0.5000 0.0000
0.2535 0.2535 0.5000
0.2535 0.7465 0.5000
0.5000 0.0000 0.0000
0.7465 0.2535 0.5000
0.7465 0.7465 0.5000
```

Principal peaks in the range 5 to 70 degrees two-theta, by angle:
- 5.590 Å, I 1
- 3.953 Å, I 1
- 3.216 Å, I 1
- 2.790 Å, I 1
- 2.500 Å, I 1
- 2.278 Å, I 100
- 1.976 Å, I 33
- 1.966 Å, I 16
- 1.398 Å, I 11
- 1.394 Å, I 21